No. 1
The following is a computed powder X-ray diffraction pattern of Zr4FeSiC2. It was derived from DFT lattice parameters and positions (GGA-PBE), using Cu Kα (λ = 1.5418 Å).

The 10 most intense peaks (5° ≤ 2θ ≤ 70°), low angle first:
- 2θ 6.54, d = 13.519 Å, rel. 10, (0 0 1)
- 2θ 26.37, d = 3.380 Å, rel. 9, (0 0 4)
- 2θ 31.30, d = 2.858 Å, rel. 24, (1 0 0)
- 2θ 32.01, d = 2.796 Å, rel. 13, (1 0 1)
- 2θ 37.26, d = 2.413 Å, rel. 100, (1 0 3)
- 2θ 40.02, d = 2.253 Å, rel. 13, (0 0 6)
- 2θ 51.66, d = 1.769 Å, rel. 13, (1 0 6)
- 2θ 55.71, d = 1.650 Å, rel. 23, (1 1 0)
- 2θ 57.60, d = 1.600 Å, rel. 9, (1 0 7)
- 2θ 68.94, d = 1.362 Å, rel. 15, (2 0 3)

Structural model:
Lattice parameters (Å, degrees): 3.3001 3.3001 13.5192 90.00 90.00 120.00
Space group P-6m2 (No. 187)
Unique sites:
Zr: 0.0000 0.0000 0.1469 x2
Zr: 0.3333 0.6667 0.3426 x2
Fe: 0.3333 0.6667 0.0000 x1
Si: 0.0000 0.0000 0.5000 x1
C: 0.6667 0.3333 0.2482 x2

=====

No. 2
The following is a computed powder X-ray diffraction pattern of Tb2Fe17C3. It was derived from DFT lattice parameters and positions (GGA-PBE), using Cu Kα (λ = 1.5418 Å).

The 10 most intense peaks (5° ≤ 2θ ≤ 70°), low angle first:
- 2θ 29.82, d = 2.996 Å, rel. 43, (1 1 3)
- 2θ 36.06, d = 2.491 Å, rel. 40, (3 0 0)
- 2θ 37.53, d = 2.396 Å, rel. 31, (0 2 4)
- 2θ 41.88, d = 2.157 Å, rel. 75, (2 2 0)
- 2θ 42.28, d = 2.138 Å, rel. 100, (3 0 3)
- 2θ 43.19, d = 2.095 Å, rel. 21, (2 1 4)
- 2θ 43.47, d = 2.082 Å, rel. 34, (0 0 6)
- 2θ 47.47, d = 1.915 Å, rel. 15, (2 2 3)
- 2θ 61.02, d = 1.518 Å, rel. 21, (1 4 3)
- 2θ 61.94, d = 1.498 Å, rel. 19, (2 2 6)

Structural model:
Lattice parameters (Å, degrees): 8.6288 8.6288 12.4921 90.00 90.00 120.00
Space group R-3m (No. 166, hexagonal axes)
Unique sites:
Tb: 0.0000 0.0000 0.1570 x6
Fe: 0.0000 0.0000 0.4048 x6
Fe: 0.0000 0.2837 0.5000 x18
Fe: 0.0000 0.5000 0.0000 x9
Fe: 0.0083 0.5042 0.3471 x18
C: 0.0000 0.5000 0.5000 x9

=====

No. 3
The following is a computed powder X-ray diffraction pattern of Tl2FeC4. It was derived from DFT lattice parameters and positions (GGA-PBE), using Cu Kα (λ = 1.5418 Å).

The 10 most intense peaks (5° ≤ 2θ ≤ 70°), low angle first:
- 2θ 23.79, d = 3.740 Å, rel. 59, (1 3 0)
- 2θ 25.54, d = 3.488 Å, rel. 86, (1 2 1)
- 2θ 28.23, d = 3.161 Å, rel. 100, (2 1 1)
- 2θ 28.91, d = 3.088 Å, rel. 18, (0 4 0)
- 2θ 30.87, d = 2.896 Å, rel. 26, (3 1 0)
- 2θ 36.02, d = 2.494 Å, rel. 19, (1 4 1)
- 2θ 37.25, d = 2.414 Å, rel. 19, (3 3 0)
- 2θ 46.04, d = 1.971 Å, rel. 36, (2 5 1)
- 2θ 53.89, d = 1.701 Å, rel. 27, (3 3 2)
- 2θ 56.96, d = 1.617 Å, rel. 20, (5 2 1)

Structural model:
Lattice parameters (Å, degrees): 8.938 12.353 4.797 90.00 90.00 90.00
Space group Ibam (No. 72)
Unique sites:
Tl: 0.148 0.151 0.000 x8
Fe: 0.000 0.500 0.250 x4
C: 0.118 0.423 0.000 x8
C: 0.225 0.350 0.000 x8